Computed X-ray powder pattern
Compound: Ba3Co2WO9
Radiation: λ = 1.5418 Å (Cu Kα)
Structure: DFT lattice parameters and positions (PBE+U)
Lines closer than 0.1° are merged.

Lattice parameters (Å, degrees): 5.8280 5.8280 14.3574 90.00 90.00 120.00
Fractional positions:
1 Ba 0.0000 0.0000 0.0000
2 Ba 0.0000 0.0000 0.5000
3 Ba 0.3333 0.6667 0.1742
4 Ba 0.3333 0.6667 0.8504
5 Ba 0.6667 0.3333 0.3504
6 Ba 0.6667 0.3333 0.6742
7 Co 0.0000 0.0000 0.2761
8 Co 0.0000 0.0000 0.7761
9 Co 0.3333 0.6667 0.4050
10 Co 0.6667 0.3333 0.9050
11 W 0.3333 0.6667 0.5911
12 W 0.6667 0.3333 0.0911
13 O 0.0396 0.5198 0.4934
14 O 0.1708 0.3416 0.3263
15 O 0.1708 0.8292 0.3263
16 O 0.1724 0.3448 0.6580
17 O 0.1724 0.8276 0.6580
18 O 0.3416 0.1708 0.8263
19 O 0.3448 0.1724 0.1580
20 O 0.4802 0.5198 0.4934
21 O 0.4802 0.9604 0.4934
22 O 0.5198 0.0396 0.9934
23 O 0.5198 0.4802 0.9934
24 O 0.6552 0.8276 0.6580
25 O 0.6584 0.8292 0.3263
26 O 0.8276 0.1724 0.1580
27 O 0.8276 0.6552 0.1580
28 O 0.8292 0.1708 0.8263
29 O 0.8292 0.6584 0.8263
30 O 0.9604 0.4802 0.9934

Top 6 peaks for 5° ≤ 2θ ≤ 70°, in order of rising 2θ:
2θ/deg	I (rel.)
25.7	37.9
30.6	47.3
30.7	100.0
36.0	20.6
43.9	28.6
54.5	37.7